Simulated PXRD pattern
Compound: Hg3Te2H4
Radiation: Cu Kα (weighted mean of Kα1 and Kα2)
Structure: a structure optimized by DFT (GGA-PBE)
No peak broadening, texture or thermal motion is included.

Cell and atoms:
Cell: 9.531 9.531 7.525 Å, 90.00 90.00 139.03°
Sites, in units of the cell vectors:
Hg 0.000 0.000 0.250
Hg 0.000 0.000 0.750
Hg 0.256 0.744 0.250
Hg 0.256 0.744 0.750
Hg 0.744 0.256 0.250
Hg 0.744 0.256 0.750
Te 0.133 0.318 0.000
Te 0.318 0.133 0.500
Te 0.682 0.867 0.500
Te 0.867 0.682 0.000
H 0.228 0.723 0.500
H 0.277 0.772 0.000
H 0.389 0.451 0.000
H 0.451 0.389 0.500
H 0.549 0.611 0.500
H 0.611 0.549 0.000
H 0.723 0.228 0.000
H 0.772 0.277 0.500

Largest 10 diffraction maxima, in order of falling intensity, 2θ from 10° to 90°:
2θ (°), I/Imax
31.09, 100
33.54, 81
35.98, 80
14.17, 49
19.89, 46
23.26, 42
60.16, 31
41.45, 30
19.99, 27
25.69, 24

---

Simulated PXRD pattern
Compound: HgTe2H2
Radiation: Cu Kα (weighted mean of Kα1 and Kα2)
Structure: a structure optimized by DFT (GGA-PBE)
No peak broadening, texture or thermal motion is included.

Cell and atoms:
Cell: 4.702 4.833 6.098 Å, 91.40 92.71 91.86°
Sites, in units of the cell vectors:
Hg 0.000 0.000 0.000
Te 0.332 0.684 0.753
Te 0.668 0.316 0.247
H 0.134 0.752 0.525
H 0.866 0.248 0.475

Largest 10 diffraction maxima, in order of falling intensity, 2θ from 10° to 90°:
2θ (°), I/Imax
23.21, 100
24.49, 82
26.93, 78
14.55, 63
29.72, 47
40.53, 41
34.37, 40
41.48, 24
42.24, 23
44.66, 22

---

Simulated PXRD pattern
Compound: Th3HgH3
Radiation: Cu Kα (weighted mean of Kα1 and Kα2)
Structure: a structure optimized by DFT (GGA-PBE)
No peak broadening, texture or thermal motion is included.

Cell and atoms:
Cell: 6.500 6.500 6.500 Å, 90.00 90.00 90.00°
Sites, in units of the cell vectors:
Th 0.000 0.250 0.500
Th 0.000 0.750 0.500
Th 0.250 0.500 0.000
Th 0.500 0.000 0.250
Th 0.500 0.000 0.750
Th 0.750 0.500 0.000
Hg 0.000 0.000 0.000
Hg 0.500 0.500 0.500
H 0.000 0.500 0.250
H 0.000 0.500 0.750
H 0.250 0.000 0.500
H 0.500 0.250 0.000
H 0.500 0.750 0.000
H 0.750 0.000 0.500

Largest 10 diffraction maxima, in order of falling intensity, 2θ from 10° to 90°:
2θ (°), I/Imax
30.76, 100
33.78, 72
52.69, 42
27.44, 31
50.63, 26
65.84, 24
79.38, 22
56.64, 18
81.02, 12
84.27, 12